The following is a computed powder diffraction line list of AgP3H12. It was derived from a cell relaxed with PBE, using CuKα.

Most intense lines, 2θ from 10° to 90°, sorted by position:
2θ/deg	d (Å)	Rel. int.
15.4	5.767	1000
19.4	4.585	504
26.1	3.414	302
28.6	3.120	186
31.7	2.826	614
42.2	2.141	209

Structure:
a = 9.7211 Å, b = 9.7211 Å, c = 9.7211 Å
α = 44.86°, β = 44.86°, γ = 44.86°
Fractional positions:
Ag 0.0000 0.0000 0.0000
Ag 0.5000 0.5000 0.5000
P 0.0823 0.4168 0.7524
P 0.2524 0.9168 0.5823
P 0.4168 0.7524 0.0823
P 0.5823 0.2524 0.9168
P 0.7524 0.0823 0.4168
P 0.9168 0.5823 0.2524
H 0.0452 0.7202 0.1215
H 0.0972 0.8323 0.7326
H 0.1215 0.0452 0.7202
H 0.1911 0.2504 0.8888
H 0.2202 0.5452 0.6215
H 0.2326 0.3323 0.5972
H 0.2504 0.8888 0.1911
H 0.2788 0.8825 0.9543
H 0.3323 0.5972 0.2326
H 0.3825 0.7788 0.4543
H 0.3888 0.7504 0.6911
H 0.4543 0.3825 0.7788
H 0.5452 0.6215 0.2202
H 0.5972 0.2326 0.3323
H 0.6215 0.2202 0.5452
H 0.6911 0.3888 0.7504
H 0.7202 0.1215 0.0452
H 0.7326 0.0972 0.8323
H 0.7504 0.6911 0.3888
H 0.7788 0.4543 0.3825
H 0.8323 0.7326 0.0972
H 0.8825 0.9543 0.2788
H 0.8888 0.1911 0.2504
H 0.9543 0.2788 0.8825